Na3PrAs2O8: simulated XRD peak list (Cu Kα (weighted mean of Kα1 and Kα2)), based on a GGA-PBE-relaxed structure.

Peak list (12 most intense, 2θ from 10° to 90°, by angle)
- (0 0 1), 2θ 11.9, d 7.409, I 15
- (1 0 1), 2θ 21.0, d 4.234, I 100
- (0 1 2), 2θ 29.7, d 3.009, I 65
- (1 1 0), 2θ 30.0, d 2.978, I 77
- (0 2 1), 2θ 36.9, d 2.436, I 10
- (2 0 2), 2θ 42.7, d 2.117, I 39
- (2 1 1), 2θ 48.3, d 1.886, I 20
- (1 2 2), 2θ 53.1, d 1.725, I 23
- (3 0 0), 2θ 53.3, d 1.720, I 15
- (1 1 4), 2θ 58.7, d 1.573, I 14
- (2 2 0), 2θ 62.4, d 1.489, I 15
- (3 1 2), 2θ 70.6, d 1.335, I 11

Atomic structure:
Unit cell a=5.9567 b=5.9567 c=7.4088 alpha=90.00 beta=90.00 gamma=120.00
Element x y z (fractional)
Na (0.0000, 0.0000, 0.0000)
Na (0.3333, 0.6667, 0.7009)
Na (0.6667, 0.3333, 0.2991)
Pr (0.0000, 0.0000, 0.5000)
As (0.3333, 0.6667, 0.2144)
As (0.6667, 0.3333, 0.7856)
O (0.1785, 0.3570, 0.3052)
O (0.1785, 0.8215, 0.3052)
O (0.3333, 0.6667, 0.9892)
O (0.3570, 0.1785, 0.6948)
O (0.6430, 0.8215, 0.3052)
O (0.6667, 0.3333, 0.0108)
O (0.8215, 0.1785, 0.6948)
O (0.8215, 0.6430, 0.6948)